Entry 1:
For Sr2CaSbO6, a GGA-PBE-relaxed structure gives the theoretical powder XRD pattern in this record (Cu Kα (λ = 1.5418 Å)).

The 12 most intense peaks (15 to 90 degrees two-theta), sorted by position:
| d (Å) | I_rel |
| --- | --- |
| 4.874 | 15.0 |
| 4.819 | 14.8 |
| 2.998 | 23.3 |
| 2.965 | 100.0 |
| 2.946 | 23.6 |
| 2.101 | 27.9 |
| 2.093 | 15.4 |
| 1.724 | 16.0 |
| 1.716 | 10.8 |
| 1.706 | 22.4 |
| 1.704 | 12.5 |
| 1.483 | 14.8 |

Structure:
```
Sr2CaSbO6
1.0
5.892 0.000 0.000
0.000 5.995 0.000
-5.879 0.000 8.371
Sr Ca Sb O
4 2 2 12
Cartesian
-0.061 0.253 2.094 Sr
-3.001 2.744 6.279 Sr
3.014 3.251 2.092 Sr
0.075 5.742 6.277 Sr
2.946 0.000 0.000 Ca
0.007 2.998 4.185 Ca
-2.939 0.000 4.185 Sb
0.000 2.998 0.000 Sb
-4.771 1.375 7.951 O
-1.831 1.623 3.766 O
-4.277 4.156 8.020 O
-1.338 4.837 3.834 O
-2.425 0.188 6.116 O
0.514 2.810 1.931 O
-0.501 3.185 6.440 O
2.438 5.808 2.255 O
1.351 1.158 4.536 O
4.291 1.839 0.351 O
1.845 4.373 4.605 O
4.784 4.620 0.419 O
```

Entry 2:
For SrCaYSbO6, a GGA-PBE-relaxed structure gives the theoretical powder XRD pattern in this record (Cu Kα (λ = 1.5418 Å)).

The 12 most intense peaks (15 to 90 degrees two-theta), sorted by position:
| d (Å) | I_rel |
| --- | --- |
| 4.825 | 8.0 |
| 4.179 | 17.6 |
| 2.955 | 100.0 |
| 2.520 | 3.9 |
| 2.089 | 36.2 |
| 1.869 | 6.7 |
| 1.706 | 39.1 |
| 1.477 | 21.5 |
| 1.393 | 2.9 |
| 1.322 | 17.2 |
| 1.206 | 6.9 |
| 1.117 | 20.5 |

Structure:
```
SrCaYSbO6
1.0
0.000 4.179 4.179
4.179 0.000 4.179
4.179 4.179 0.000
Sr Ca Y Sb O
1 1 1 1 6
Cartesian
0.000 0.000 0.000 Sr
4.179 4.179 4.179 Ca
2.089 2.089 2.089 Y
6.268 6.268 6.268 Sb
6.268 6.268 4.284 O
6.268 4.284 6.268 O
8.252 6.268 6.268 O
4.284 6.268 6.268 O
6.268 8.252 6.268 O
6.268 6.268 8.252 O
```

Entry 3:
For Ca2TbSbO6, a GGA-PBE-relaxed structure gives the theoretical powder XRD pattern in this record (Cu Kα (λ = 1.5418 Å)).

The 12 most intense peaks (15 to 90 degrees two-theta), sorted by position:
| d (Å) | I_rel |
| --- | --- |
| 4.171 | 57.2 |
| 2.949 | 100.0 |
| 2.408 | 3.3 |
| 2.085 | 35.0 |
| 1.865 | 24.8 |
| 1.703 | 39.3 |
| 1.475 | 20.8 |
| 1.390 | 11.6 |
| 1.319 | 17.2 |
| 1.204 | 6.7 |
| 1.157 | 5.3 |
| 1.115 | 20.6 |

Structure:
```
Ca2TbSbO6
1.0
0.000 4.171 4.171
4.171 0.000 4.171
4.171 4.171 0.000
Ca Tb Sb O
2 1 1 6
Cartesian
2.085 2.085 2.085 Ca
6.256 6.256 6.256 Ca
0.000 0.000 0.000 Tb
4.171 4.171 4.171 Sb
4.171 4.171 2.193 O
4.171 2.193 4.171 O
6.148 4.171 4.171 O
2.193 4.171 4.171 O
4.171 6.148 4.171 O
4.171 4.171 6.148 O
```

Entry 4:
For Ca2TiSbO6, a GGA-PBE-relaxed structure gives the theoretical powder XRD pattern in this record (Cu Kα (λ = 1.5418 Å)).

The 12 most intense peaks (15 to 90 degrees two-theta), sorted by position:
| d (Å) | I_rel |
| --- | --- |
| 5.702 | 13.4 |
| 5.518 | 12.8 |
| 3.969 | 46.6 |
| 2.851 | 25.1 |
| 2.808 | 100.0 |
| 2.759 | 23.2 |
| 1.989 | 17.4 |
| 1.983 | 30.3 |
| 1.638 | 16.8 |
| 1.631 | 11.9 |
| 1.602 | 25.2 |
| 1.404 | 15.4 |

Structure:
```
Ca2TiSbO6
1.0
5.518 0.000 0.000
0.000 7.956 0.000
-0.008 0.000 5.702
Ca Ti Sb O
4 2 2 12
Cartesian
0.044 1.989 2.591 Ca
2.666 1.989 5.353 Ca
2.843 5.967 0.350 Ca
5.465 5.967 3.111 Ca
2.755 0.000 2.851 Ti
2.755 3.978 2.851 Ti
0.000 0.000 0.000 Sb
0.000 3.978 0.000 Sb
0.518 5.967 5.522 O
1.135 0.403 3.945 O
1.135 3.575 3.945 O
1.721 0.401 1.189 O
1.721 3.576 1.189 O
2.253 5.967 2.669 O
3.257 1.989 3.034 O
3.789 4.379 4.513 O
3.789 7.554 4.513 O
4.374 4.381 1.757 O
4.374 7.553 1.757 O
4.992 1.989 0.180 O
```

Entry 5:
For Ca2TiSbO6, a GGA-PBE-relaxed structure gives the theoretical powder XRD pattern in this record (Cu Kα (λ = 1.5418 Å)).

The 12 most intense peaks (15 to 90 degrees two-theta), sorted by position:
| d (Å) | I_rel |
| --- | --- |
| 4.656 | 21.3 |
| 4.032 | 35.8 |
| 2.851 | 100.0 |
| 2.431 | 14.9 |
| 2.016 | 43.9 |
| 1.850 | 7.6 |
| 1.803 | 13.9 |
| 1.646 | 37.2 |
| 1.425 | 24.6 |
| 1.344 | 6.1 |
| 1.275 | 15.8 |
| 1.164 | 7.8 |

Structure:
```
Ca2TiSbO6
1.0
0.000 4.032 4.032
4.032 0.000 4.032
4.032 4.032 0.000
Ca Ti Sb O
2 1 1 6
Cartesian
2.016 2.016 2.016 Ca
6.048 6.048 6.048 Ca
0.000 0.000 0.000 Ti
4.032 4.032 4.032 Sb
4.032 4.032 1.963 O
4.032 1.963 4.032 O
6.101 4.032 4.032 O
1.963 4.032 4.032 O
4.032 6.101 4.032 O
4.032 4.032 6.101 O
```

Entry 6:
For CaScO3, a GGA-PBE-relaxed structure gives the theoretical powder XRD pattern in this record (Cu Kα (λ = 1.5418 Å)).

The 12 most intense peaks (15 to 90 degrees two-theta), sorted by position:
| d (Å) | I_rel |
| --- | --- |
| 4.085 | 10.6 |
| 2.888 | 100.0 |
| 2.358 | 16.2 |
| 2.042 | 63.0 |
| 1.827 | 3.0 |
| 1.668 | 35.9 |
| 1.444 | 33.6 |
| 1.362 | 1.1 |
| 1.292 | 14.6 |
| 1.232 | 3.0 |
| 1.179 | 10.2 |
| 1.092 | 17.2 |

Structure:
```
CaScO3
1.0
4.085 0.000 0.000
0.000 4.085 0.000
0.000 0.000 4.085
Ca Sc O
1 1 3
Cartesian
0.000 0.000 0.000 Ca
2.042 2.042 2.042 Sc
0.000 2.042 2.042 O
2.042 0.000 2.042 O
2.042 2.042 0.000 O
```

Entry 7:
For CaSc4Si4O14, a GGA-PBE-relaxed structure gives the theoretical powder XRD pattern in this record (Cu Kα (λ = 1.5418 Å)).

The 12 most intense peaks (15 to 90 degrees two-theta), sorted by position:
| d (Å) | I_rel |
| --- | --- |
| 3.086 | 18.1 |
| 2.995 | 79.0 |
| 2.784 | 100.0 |
| 2.341 | 26.2 |
| 2.318 | 13.3 |
| 2.260 | 20.4 |
| 2.019 | 14.0 |
| 1.855 | 19.9 |
| 1.773 | 51.4 |
| 1.665 | 26.7 |
| 1.544 | 18.5 |
| 1.455 | 14.4 |

Structure:
```
CaSc4Si4O14
1.0
-3.329 3.710 5.077
3.329 -3.710 5.077
3.329 3.710 -5.077
Ca Sc Si O
1 4 4 14
Cartesian
0.000 0.000 0.000 Ca
3.329 1.703 0.204 Sc
1.713 3.710 -1.859 Sc
1.616 0.000 3.218 Sc
0.000 2.007 5.282 Sc
0.000 2.332 0.683 Si
0.000 5.087 0.683 Si
-1.629 3.710 2.865 Si
1.629 3.710 2.865 Si
1.592 1.541 -0.952 O
5.066 1.541 -0.952 O
3.329 0.000 1.696 O
0.000 0.000 2.104 O
0.000 0.000 4.657 O
3.329 0.000 4.753 O
1.390 2.467 1.605 O
1.939 -1.243 6.682 O
-1.737 2.169 4.125 O
1.737 2.169 4.125 O
0.000 0.000 7.782 O
1.390 4.953 1.605 O
1.939 1.243 6.682 O
0.000 3.710 3.516 O
```

Entry 8:
For CaSc4Si4O14, a GGA-PBE-relaxed structure gives the theoretical powder XRD pattern in this record (Cu Kα (λ = 1.5418 Å)).

The 12 most intense peaks (15 to 90 degrees two-theta), sorted by position:
| d (Å) | I_rel |
| --- | --- |
| 3.925 | 17.6 |
| 3.715 | 86.3 |
| 2.684 | 78.3 |
| 2.477 | 53.0 |
| 2.350 | 100.0 |
| 2.081 | 25.6 |
| 1.963 | 47.1 |
| 1.672 | 18.1 |
| 1.635 | 25.0 |
| 1.596 | 66.8 |
| 1.457 | 27.0 |
| 1.342 | 27.2 |

Structure:
```
CaSc4Si4O14
1.0
3.193 1.843 7.430
-3.193 1.843 7.430
0.000 -3.687 7.430
Ca Sc Si O
1 4 4 14
Cartesian
0.000 0.000 0.000 Ca
0.000 0.000 5.298 Sc
0.000 -1.721 9.708 Sc
-1.491 0.861 9.708 Sc
1.491 0.861 9.708 Sc
-1.621 -0.936 12.328 Si
1.621 -0.936 12.328 Si
0.000 1.872 12.328 Si
0.000 0.000 16.844 Si
0.000 -2.266 5.536 O
-1.963 1.133 5.536 O
-1.882 -1.086 10.686 O
0.000 0.000 3.334 O
0.000 0.000 8.535 O
-1.401 -0.809 16.128 O
0.000 -1.444 12.549 O
-1.250 0.722 12.549 O
1.963 1.133 5.536 O
1.882 -1.086 10.686 O
0.000 2.173 10.686 O
1.250 0.722 12.549 O
1.401 -0.809 16.128 O
0.000 1.618 16.128 O
```

Entry 9:
For CaSeO4, a GGA-PBE-relaxed structure gives the theoretical powder XRD pattern in this record (Cu Kα (λ = 1.5418 Å)).

The 12 most intense peaks (15 to 90 degrees two-theta), sorted by position:
| d (Å) | I_rel |
| --- | --- |
| 4.612 | 26.9 |
| 3.682 | 100.0 |
| 3.666 | 99.8 |
| 2.928 | 23.2 |
| 2.906 | 67.4 |
| 2.598 | 27.4 |
| 2.538 | 47.0 |
| 2.089 | 32.4 |
| 1.935 | 29.6 |
| 1.813 | 25.5 |
| 1.483 | 24.8 |
| 1.375 | 22.8 |

Structure:
```
CaSeO4
1.0
3.666 -7.363 0.000
3.666 7.363 0.000
0.000 0.000 6.482
Ca Se O
4 4 16
Cartesian
3.666 5.526 5.705 Ca
3.666 1.837 2.464 Ca
3.666 -1.837 4.018 Ca
3.666 -5.526 0.777 Ca
3.666 5.548 2.494 Se
3.666 1.815 5.735 Se
3.666 -1.815 0.747 Se
3.666 -5.548 3.988 Se
3.666 6.776 1.359 O
1.305 1.756 2.946 O
2.362 1.756 0.295 O
3.666 4.145 1.578 O
3.666 3.218 4.819 O
1.305 -1.756 3.536 O
2.362 -1.756 6.186 O
3.666 0.587 4.600 O
3.666 -0.587 1.882 O
4.971 1.756 0.295 O
6.028 1.756 2.946 O
3.666 -3.218 1.663 O
3.666 -4.145 4.904 O
4.971 -1.756 6.186 O
6.028 -1.756 3.536 O
3.666 -6.776 5.123 O
```